Record 1
The following is a theoretical PXRD pattern of CaTm2Tl2Ag2. It was derived from a structure optimized by DFT (PBE), using Cu Kα, 1.54184 Å.

```
CaTm2Tl2Ag2
1.0
2.4685 1.4252 8.8232
-2.4685 1.4252 8.8232
0.0000 -2.8504 8.8232
Ca Tm Tl Ag
1 2 2 2
Cartesian
0.0000 0.0000 0.0000 Ca
0.0000 0.0000 3.5336 Tm
0.0000 0.0000 22.9358 Tm
0.0000 0.0000 6.8416 Tl
0.0000 0.0000 19.6278 Tl
0.0000 0.0000 11.6415 Ag
0.0000 0.0000 14.8279 Ag
```

Principal peaks in the range 2θ from 5° to 70°, most intense first:
| d_spacing | 2theta | I/Imax |
| --- | --- | --- |
| 2.469 | 36.4 | 100 |
| 2.833 | 31.6 | 70 |
| 8.823 | 10.0 | 46 |
| 2.251 | 40.1 | 33 |
| 2.617 | 34.3 | 28 |
| 4.412 | 20.1 | 20 |
| 1.861 | 48.9 | 20 |
| 1.486 | 62.5 | 19 |
| 2.154 | 41.9 | 19 |
| 1.425 | 65.5 | 18 |

=====

Record 2
The following is a theoretical PXRD pattern of Ca3Zn2Ag5. It was derived from a structure optimized by DFT (PBE), using Cu Kα, 1.54184 Å.

```
Ca3Zn2Ag5
1.0
10.3467 0.0000 0.0000
0.0000 10.3467 0.0000
0.0000 0.0000 4.1145
Ca Zn Ag
6 4 10
Cartesian
0.0000 0.0000 0.0000 Ca
1.8112 3.3622 0.0000 Ca
3.3622 8.5355 0.0000 Ca
5.1733 5.1733 0.0000 Ca
6.9845 1.8112 0.0000 Ca
8.5355 6.9845 0.0000 Ca
1.2503 6.4237 0.0000 Zn
3.9230 1.2503 0.0000 Zn
6.4237 9.0964 0.0000 Zn
9.0964 3.9230 0.0000 Zn
0.0000 5.1733 2.0573 Ag
0.6860 8.1157 2.0573 Ag
2.2310 0.6860 2.0573 Ag
2.9423 5.8594 2.0573 Ag
4.4873 2.9423 2.0573 Ag
5.1733 0.0000 2.0573 Ag
5.8594 7.4044 2.0573 Ag
7.4044 4.4873 2.0573 Ag
8.1157 9.6607 2.0573 Ag
9.6607 2.2310 2.0573 Ag
```

Principal peaks in the range 2θ from 5° to 70°, most intense first:
| d_spacing | 2theta | I/Imax |
| --- | --- | --- |
| 2.561 | 35.0 | 100 |
| 2.354 | 38.2 | 67 |
| 2.509 | 35.8 | 47 |
| 4.627 | 19.2 | 43 |
| 2.057 | 44.0 | 33 |
| 2.190 | 41.2 | 31 |
| 4.115 | 21.6 | 27 |
| 1.591 | 58.0 | 26 |
| 2.734 | 32.8 | 24 |
| 2.314 | 38.9 | 21 |

=====

Record 3
The following is a theoretical PXRD pattern of Ca6ZnAg3. It was derived from a structure optimized by DFT (PBE), using Cu Kα, 1.54184 Å.

```
Ca6ZnAg3
1.0
11.3185 0.0000 0.0000
0.0000 4.2815 0.0000
-4.9745 0.0000 12.7024
Ca Zn Ag
12 2 6
Cartesian
-1.6961 1.0704 4.8546 Ca
-3.5963 1.0704 11.4681 Ca
1.1998 3.2111 4.1502 Ca
-0.0923 3.2111 10.0739 Ca
3.3810 3.2111 1.2912 Ca
1.6999 1.0704 7.2441 Ca
4.6440 3.2111 5.4583 Ca
2.9630 1.0704 11.4112 Ca
6.4363 1.0704 2.6285 Ca
5.1442 1.0704 8.5522 Ca
9.9403 3.2111 1.2343 Ca
8.0401 3.2111 7.8478 Ca
3.3243 1.0704 3.6157 Zn
3.0197 3.2111 9.0867 Zn
0.9052 1.0704 1.9689 Ag
-0.4525 3.2111 6.8059 Ag
-0.2023 1.0704 12.2905 Ag
6.5463 3.2111 0.4118 Ag
6.7965 1.0704 5.8965 Ag
5.4388 3.2111 10.7335 Ag
```

Principal peaks in the range 2θ from 5° to 70°, most intense first:
| d_spacing | 2theta | I/Imax |
| --- | --- | --- |
| 2.716 | 33.0 | 100 |
| 2.616 | 34.3 | 67 |
| 2.702 | 33.2 | 54 |
| 4.544 | 19.5 | 52 |
| 6.959 | 12.7 | 47 |
| 2.141 | 42.2 | 46 |
| 3.647 | 24.4 | 43 |
| 2.794 | 32.0 | 40 |
| 2.551 | 35.2 | 29 |
| 2.363 | 38.1 | 28 |

=====

Record 4
The following is a theoretical PXRD pattern of Ca2Zn3Ag5. It was derived from a structure optimized by DFT (PBE), using Cu Kα, 1.54184 Å.

```
Ca2Zn3Ag5
1.0
6.2519 -6.0519 0.0000
6.2519 6.0519 0.0000
-2.1285 0.0000 5.5021
Ca Zn Ag
4 6 10
Cartesian
2.7432 3.1931 4.6144 Ca
6.5678 3.1931 3.6388 Ca
3.8074 -3.1931 1.8633 Ca
7.6320 -3.1931 0.8877 Ca
3.9385 4.4445 1.9409 Zn
7.5010 4.4445 0.8101 Zn
4.6555 0.3442 4.1266 Zn
5.7197 -0.3442 1.3755 Zn
2.8743 -4.4445 4.6920 Zn
6.4367 -4.4445 3.5612 Zn
4.6555 5.7967 4.1266 Ag
4.2753 1.8734 1.9560 Ag
1.1551 0.0068 5.4978 Ag
2.2194 -0.0068 2.7467 Ag
7.1642 1.8734 0.7950 Ag
3.2111 -1.8734 4.7071 Ag
8.1559 0.0068 2.7554 Ag
9.2201 -0.0068 0.0043 Ag
6.1000 -1.8734 3.5461 Ag
5.7197 -5.7967 1.3755 Ag
```

Principal peaks in the range 2θ from 5° to 70°, most intense first:
| d_spacing | 2theta | I/Imax |
| --- | --- | --- |
| 2.636 | 34.0 | 100 |
| 2.627 | 34.1 | 94 |
| 2.200 | 41.0 | 66 |
| 6.052 | 14.6 | 58 |
| 2.105 | 43.0 | 53 |
| 2.121 | 42.6 | 53 |
| 2.099 | 43.1 | 51 |
| 2.806 | 31.9 | 39 |
| 4.136 | 21.5 | 33 |
| 3.719 | 23.9 | 31 |

=====

Record 5
The following is a theoretical PXRD pattern of Ca3Zn4Ag4. It was derived from a structure optimized by DFT (PBE), using Cu Kα, 1.54184 Å.

```
Ca3Zn4Ag4
1.0
3.7521 0.0000 0.0000
0.0111 4.5939 0.0000
1.8741 2.2038 14.0262
Ca Zn Ag
3 4 4
Cartesian
0.0000 0.0000 0.0000 Ca
1.8843 4.5287 9.9498 Ca
3.7530 2.2690 4.0764 Ca
1.8826 2.2510 6.7857 Zn
1.8846 4.5777 2.6868 Zn
3.7528 2.2200 11.3394 Zn
3.7547 4.5467 7.2404 Zn
1.8781 4.5546 5.3171 Ag
1.8835 2.2825 1.4104 Ag
3.7538 4.5152 12.6158 Ag
3.7593 2.2431 8.7090 Ag
```

Principal peaks in the range 2θ from 5° to 70°, most intense first:
| d_spacing | 2theta | I/Imax |
| --- | --- | --- |
| 3.719 | 23.9 | 100 |
| 2.739 | 32.7 | 99 |
| 2.297 | 39.2 | 94 |
| 2.681 | 33.4 | 71 |
| 2.689 | 33.3 | 69 |
| 2.236 | 40.3 | 67 |
| 2.223 | 40.6 | 61 |
| 2.023 | 44.8 | 51 |
| 2.014 | 45.0 | 50 |
| 1.876 | 48.5 | 49 |

=====

Record 6
The following is a theoretical PXRD pattern of Ca3Zn8Ag. It was derived from a structure optimized by DFT (PBE), using Cu Kα, 1.54184 Å.

```
Ca3Zn8Ag
1.0
2.7054 1.5620 9.0288
-2.7054 1.5620 9.0288
0.0000 -3.1239 9.0288
Ca Zn Ag
3 8 1
Cartesian
0.0000 0.0000 0.0000 Ca
0.0000 0.0000 3.4497 Ca
0.0000 0.0000 16.7192 Ca
0.0000 -1.5638 6.1405 Zn
-1.3543 0.7819 6.1405 Zn
-1.3501 -0.7795 10.7168 Zn
0.0000 0.0000 8.3800 Zn
1.3543 0.7819 6.1406 Zn
1.3500 -0.7795 10.7168 Zn
0.0000 1.5589 10.7168 Zn
0.0000 0.0000 21.9963 Zn
0.0000 0.0000 13.5046 Ag
```

Principal peaks in the range 2θ from 5° to 70°, most intense first:
| d_spacing | 2theta | I/Imax |
| --- | --- | --- |
| 2.321 | 38.8 | 100 |
| 2.214 | 40.8 | 72 |
| 2.345 | 38.4 | 54 |
| 2.309 | 39.0 | 51 |
| 1.372 | 68.4 | 26 |
| 1.353 | 69.5 | 26 |
| 2.257 | 39.9 | 24 |
| 1.482 | 62.7 | 23 |
| 2.744 | 32.6 | 22 |
| 1.476 | 63.0 | 22 |

=====

Record 7
The following is a theoretical PXRD pattern of Ca2Zn6Ag3. It was derived from a structure optimized by DFT (PBE), using Cu Kα, 1.54184 Å.

```
Ca2Zn6Ag3
1.0
5.0488 -5.7236 0.0000
5.0488 5.7236 0.0000
0.0000 0.0000 4.0176
Ca Zn Ag
2 6 3
Cartesian
5.0488 3.3817 0.0000 Ca
5.0488 -3.3817 0.0000 Ca
1.2018 0.0000 2.0088 Zn
3.0839 1.7965 2.0088 Zn
3.0839 -1.7965 2.0088 Zn
7.0137 1.7965 2.0088 Zn
7.0137 -1.7965 2.0088 Zn
8.8957 0.0000 2.0088 Zn
2.9780 0.0000 0.0000 Ag
5.0488 0.0000 2.0088 Ag
7.1195 0.0000 0.0000 Ag
```

Principal peaks in the range 2θ from 5° to 70°, most intense first:
| d_spacing | 2theta | I/Imax |
| --- | --- | --- |
| 2.755 | 32.5 | 100 |
| 2.137 | 42.3 | 68 |
| 5.724 | 15.5 | 59 |
| 2.116 | 42.7 | 39 |
| 2.009 | 45.1 | 32 |
| 1.989 | 45.6 | 29 |
| 7.572 | 11.7 | 24 |
| 2.524 | 35.6 | 24 |
| 2.517 | 35.7 | 23 |
| 1.908 | 47.7 | 22 |

=====

Record 8
The following is a theoretical PXRD pattern of Ca2ZnAg6. It was derived from a structure optimized by DFT (PBE), using Cu Kα, 1.54184 Å.

```
Ca2ZnAg6
1.0
5.2184 -3.0164 0.0000
5.2184 3.0164 0.0000
-0.0065 0.0000 6.0621
Ca Zn Ag
2 1 6
Cartesian
1.7386 0.0000 2.0968 Ca
8.6918 0.0000 3.9654 Ca
5.2152 0.0000 3.0311 Zn
4.3055 1.5823 1.0932 Ag
6.1249 1.5823 4.9689 Ag
3.3922 0.0000 4.9694 Ag
7.0382 0.0000 1.0927 Ag
4.3055 -1.5823 1.0932 Ag
6.1249 -1.5823 4.9689 Ag
```

Principal peaks in the range 2θ from 5° to 70°, most intense first:
| d_spacing | 2theta | I/Imax |
| --- | --- | --- |
| 2.398 | 37.5 | 100 |
| 1.978 | 45.9 | 34 |
| 2.621 | 34.2 | 20 |
| 3.956 | 22.5 | 19 |
| 2.699 | 33.2 | 17 |
| 2.611 | 34.3 | 16 |
| 3.031 | 29.5 | 13 |
| 1.507 | 61.5 | 13 |
| 6.062 | 14.6 | 12 |
| 2.021 | 44.9 | 11 |